This entry pairs a crystal structure of Cd3In8Ga2 with its theoretical powder diffractogram. Radiation: copper Kα. Structure: a cell relaxed with PBE.
Lines closer than 0.1° are merged.

Most intense lines, 15 to 90 degrees two-theta, by intensity:
d_spacing, 2θ/deg, intensity
2.554, 35.14, 1000
2.510, 35.77, 893
2.370, 37.96, 539
2.394, 37.57, 437
1.684, 54.47, 299
3.369, 26.46, 232
4.029, 22.06, 199
1.396, 67.03, 145
1.418, 65.85, 141
1.394, 67.16, 140
1.401, 66.76, 133
1.918, 47.39, 118

Crystal structure
Lattice parameters (Å, degrees): 8.9477 4.7405 9.1463 90.00 116.08 90.00
Sites, in units of the cell vectors:
Cd (0.0000, 0.0000, 0.0000)
Cd (0.2310, 0.5000, 0.2283)
Cd (0.7690, 0.5000, 0.7717)
In (0.1086, 0.0000, 0.3789)
In (0.1583, 0.5000, 0.8470)
In (0.3831, 0.0000, 0.1037)
In (0.3829, 0.5000, 0.6083)
In (0.6169, 0.0000, 0.8963)
In (0.6172, 0.5000, 0.3917)
In (0.8417, 0.5000, 0.1530)
In (0.8914, 0.0000, 0.6211)
Ga (0.2616, 0.0000, 0.7274)
Ga (0.7384, 0.0000, 0.2726)